# 1
Computed X-ray powder pattern
Compound: Li2AcScCl8
Radiation: CuKα
Structure: a GGA-PBE-relaxed structure
Kinematic intensities with the Lorentz-polarization factor, no thermal factor.

Main lines, sorted by position (2θ = 15–90°):
- 2θ = 16.3°, I 100
- 2θ = 19.5°, I 33
- 2θ = 26.8°, I 47
- 2θ = 28.5°, I 26
- 2θ = 30.4°, I 79
- 2θ = 35.7°, I 83
- 2θ = 39.5°, I 26
- 2θ = 49.4°, I 24
- 2θ = 50.4°, I 23
- 2θ = 63.3°, I 23

Atomic structure:
```
Li2AcScCl8
1.0
6.2704 0.0000 0.0000
-3.1352 5.4303 0.0000
0.0000 0.0000 8.4056
Li Ac Sc Cl
2 1 1 8
direct
0.3333 0.6667 0.2234 Li
0.6667 0.3333 0.7766 Li
0.0000 0.0000 0.5000 Ac
0.0000 0.0000 0.0000 Sc
0.0288 0.7123 0.8107 Cl
0.2877 0.3165 0.8107 Cl
0.3165 0.0288 0.1893 Cl
0.3333 0.6667 0.4927 Cl
0.6667 0.3333 0.5073 Cl
0.6835 0.9712 0.8107 Cl
0.7123 0.6835 0.1893 Cl
0.9712 0.2877 0.1893 Cl
```

=====

# 2
Computed X-ray powder pattern
Compound: Li2Ac2Se3Cl2
Radiation: CuKα
Structure: a GGA-PBE-relaxed structure
Kinematic intensities with the Lorentz-polarization factor, no thermal factor.

Main lines, sorted by position (2θ = 15–90°):
- 2θ = 18.1°, I 77
- 2θ = 22.3°, I 100
- 2θ = 24.8°, I 58
- 2θ = 29.0°, I 58
- 2θ = 31.0°, I 51
- 2θ = 35.4°, I 76
- 2θ = 37.5°, I 82
- 2θ = 42.3°, I 40
- 2θ = 46.4°, I 31
- 2θ = 65.0°, I 34

Atomic structure:
```
Li2Ac2Se3Cl2
1.0
-2.5338 2.5338 9.6949
2.5338 -2.5338 9.6949
2.5338 2.5338 -9.6949
Li Ac Se Cl
2 2 3 2
direct
0.0000 0.5000 0.5000 Li
0.5000 0.0000 0.5000 Li
0.1657 0.1657 0.0000 Ac
0.8343 0.8343 0.0000 Ac
0.0000 0.0000 0.0000 Se
0.2500 0.7500 0.5000 Se
0.7500 0.2500 0.5000 Se
0.4076 0.4076 0.0000 Cl
0.5924 0.5924 0.0000 Cl
```

=====

# 3
Computed X-ray powder pattern
Compound: Li2AcUCl8
Radiation: CuKα
Structure: a GGA-PBE-relaxed structure
Kinematic intensities with the Lorentz-polarization factor, no thermal factor.

Main lines, sorted by position (2θ = 15–90°):
- 2θ = 24.6°, I 76
- 2θ = 25.7°, I 100
- 2θ = 32.8°, I 99
- 2θ = 35.9°, I 81
- 2θ = 38.0°, I 41
- 2θ = 44.0°, I 61
- 2θ = 46.0°, I 37
- 2θ = 48.8°, I 33
- 2θ = 50.4°, I 27
- 2θ = 59.1°, I 32

Atomic structure:
```
Li2AcUCl8
1.0
7.2432 0.0000 0.0000
-3.6216 6.2728 0.0000
0.0000 0.0000 8.3095
Li Ac U Cl
2 1 1 8
direct
0.3333 0.6667 0.1620 Li
0.6667 0.3333 0.8380 Li
0.0000 0.0000 0.0000 Ac
0.0000 0.0000 0.5000 U
0.1580 0.3160 0.2717 Cl
0.1580 0.8420 0.2717 Cl
0.3160 0.1580 0.7283 Cl
0.3333 0.6667 0.9000 Cl
0.6667 0.3333 0.1000 Cl
0.6840 0.8420 0.2717 Cl
0.8420 0.1580 0.7283 Cl
0.8420 0.6840 0.7283 Cl
```

=====

# 4
Computed X-ray powder pattern
Compound: RbAcMn2Cl8
Radiation: CuKα
Structure: a GGA-PBE-relaxed structure
Kinematic intensities with the Lorentz-polarization factor, no thermal factor.

Main lines, sorted by position (2θ = 15–90°):
- 2θ = 15.7°, I 28
- 2θ = 19.2°, I 100
- 2θ = 21.1°, I 22
- 2θ = 26.9°, I 55
- 2θ = 27.7°, I 37
- 2θ = 32.1°, I 46
- 2θ = 33.3°, I 28
- 2θ = 43.3°, I 26
- 2θ = 44.4°, I 38
- 2θ = 47.5°, I 29

Atomic structure:
```
RbAcMn2Cl8
1.0
3.3146 1.9137 10.3473
-3.3146 1.9137 10.3473
0.0000 -3.8273 10.3473
Rb Ac Mn Cl
1 1 2 8
direct
0.0000 0.0000 0.0000 Rb
0.5000 0.5000 0.5000 Ac
0.2540 0.2540 0.2540 Mn
0.7460 0.7460 0.7460 Mn
0.1048 0.4339 0.7832 Cl
0.2168 0.5661 0.8952 Cl
0.3269 0.3269 0.3269 Cl
0.4339 0.7832 0.1048 Cl
0.5661 0.8952 0.2168 Cl
0.6731 0.6731 0.6731 Cl
0.7832 0.1048 0.4339 Cl
0.8952 0.2168 0.5661 Cl
```

=====

# 5
Computed X-ray powder pattern
Compound: Ac3N2Cl2
Radiation: CuKα
Structure: a GGA-PBE-relaxed structure
Kinematic intensities with the Lorentz-polarization factor, no thermal factor.

Main lines, sorted by position (2θ = 15–90°):
- 2θ = 22.7°, I 92
- 2θ = 24.7°, I 43
- 2θ = 24.9°, I 80
- 2θ = 26.2°, I 38
- 2θ = 27.7°, I 37
- 2θ = 29.5°, I 100
- 2θ = 33.4°, I 38
- 2θ = 33.6°, I 46
- 2θ = 34.3°, I 28
- 2θ = 43.9°, I 42

Atomic structure:
```
Ac3N2Cl2
1.0
8.8657 -2.0764 0.0000
8.8657 2.0764 0.0000
-5.5778 0.0000 10.5419
Ac N Cl
6 4 4
direct
0.0897 0.0897 0.4531 Ac
0.3801 0.3801 0.8199 Ac
0.3991 0.3991 0.2235 Ac
0.6009 0.6009 0.7765 Ac
0.6199 0.6199 0.1801 Ac
0.9103 0.9103 0.5469 Ac
0.0701 0.0701 0.6510 N
0.4431 0.4431 0.6914 N
0.5569 0.5569 0.3086 N
0.9299 0.9299 0.3490 N
0.1793 0.1793 0.0318 Cl
0.2513 0.2513 0.3647 Cl
0.7487 0.7487 0.6353 Cl
0.8207 0.8207 0.9682 Cl
```

=====

# 6
Computed X-ray powder pattern
Compound: Ac4N3Cl2
Radiation: CuKα
Structure: a GGA-PBE-relaxed structure
Kinematic intensities with the Lorentz-polarization factor, no thermal factor.

Main lines, sorted by position (2θ = 15–90°):
- 2θ = 15.9°, I 53
- 2θ = 16.7°, I 38
- 2θ = 25.5°, I 43
- 2θ = 27.3°, I 100
- 2θ = 28.0°, I 50
- 2θ = 33.4°, I 22
- 2θ = 35.3°, I 34
- 2θ = 39.9°, I 31
- 2θ = 42.5°, I 28
- 2θ = 48.2°, I 35

Atomic structure:
```
Ac4N3Cl2
1.0
0.0000 5.7180 13.9984
3.2733 0.0000 13.9984
3.2733 5.7180 0.0000
Ac N Cl
8 6 4
direct
0.0190 0.3450 0.8986 Ac
0.1014 0.7626 0.9810 Ac
0.2374 0.8986 0.3450 Ac
0.3450 0.0190 0.2374 Ac
0.6550 0.9810 0.7626 Ac
0.7626 0.1014 0.6550 Ac
0.8986 0.2374 0.0190 Ac
0.9810 0.6550 0.1014 Ac
0.1250 0.1250 0.1250 N
0.1268 0.1268 0.6232 N
0.3768 0.3768 0.8732 N
0.6232 0.6232 0.1268 N
0.8732 0.8732 0.3768 N
0.8750 0.8750 0.8750 N
0.2765 0.2765 0.4735 Cl
0.4735 0.4735 0.2765 Cl
0.5265 0.5265 0.7235 Cl
0.7235 0.7235 0.5265 Cl
```

=====

# 7
Computed X-ray powder pattern
Compound: Ac4N2Cl5
Radiation: CuKα
Structure: a GGA-PBE-relaxed structure
Kinematic intensities with the Lorentz-polarization factor, no thermal factor.

Main lines, sorted by position (2θ = 15–90°):
- 2θ = 23.1°, I 33
- 2θ = 25.1°, I 22
- 2θ = 25.8°, I 28
- 2θ = 26.0°, I 22
- 2θ = 27.5°, I 100
- 2θ = 31.5°, I 28
- 2θ = 32.6°, I 21
- 2θ = 33.3°, I 33
- 2θ = 36.9°, I 28
- 2θ = 39.0°, I 30

Atomic structure:
```
Ac4N2Cl5
1.0
10.0478 -2.0074 0.0000
10.0478 2.0074 0.0000
-1.3931 0.0000 7.6275
Ac N Cl
4 2 5
direct
0.0549 0.0549 0.2171 Ac
0.3667 0.3667 0.1595 Ac
0.6333 0.6333 0.8405 Ac
0.9451 0.9451 0.7829 Ac
0.0627 0.0627 0.9046 N
0.9373 0.9373 0.0954 N
0.1599 0.1599 0.5673 Cl
0.2074 0.2074 0.1320 Cl
0.5000 0.5000 0.5000 Cl
0.7926 0.7926 0.8680 Cl
0.8401 0.8401 0.4327 Cl
```

=====

# 8
Computed X-ray powder pattern
Compound: Ac2NClO
Radiation: CuKα
Structure: a GGA-PBE-relaxed structure
Kinematic intensities with the Lorentz-polarization factor, no thermal factor.

Main lines, sorted by position (2θ = 15–90°):
- 2θ = 23.4°, I 18
- 2θ = 24.2°, I 20
- 2θ = 27.0°, I 100
- 2θ = 33.9°, I 38
- 2θ = 42.7°, I 29
- 2θ = 43.4°, I 17
- 2θ = 49.2°, I 16
- 2θ = 51.2°, I 18
- 2θ = 54.3°, I 16
- 2θ = 56.6°, I 18

Atomic structure:
```
Ac2NClO
1.0
4.2389 0.0000 0.0000
-2.1194 3.6710 0.0000
0.0000 0.0000 7.6047
Ac N Cl O
2 1 1 1
direct
0.0000 0.0000 0.0000 Ac
0.3333 0.6667 0.3949 Ac
0.0000 0.0000 0.3167 N
0.6667 0.3333 0.7078 Cl
0.3333 0.6667 0.0551 O
```

=====

# 9
Computed X-ray powder pattern
Compound: Na2AcNpCl8
Radiation: CuKα
Structure: a GGA-PBE-relaxed structure
Kinematic intensities with the Lorentz-polarization factor, no thermal factor.

Main lines, sorted by position (2θ = 15–90°):
- 2θ = 18.6°, I 86
- 2θ = 19.4°, I 75
- 2θ = 20.2°, I 39
- 2θ = 24.3°, I 100
- 2θ = 27.6°, I 100
- 2θ = 30.7°, I 34
- 2θ = 36.2°, I 35
- 2θ = 36.3°, I 43
- 2θ = 37.2°, I 38
- 2θ = 46.0°, I 34

Atomic structure:
```
Na2AcNpCl8
1.0
6.5664 0.0000 0.0000
0.0000 8.7992 0.0000
-0.2681 0.0000 6.6291
Na Ac Np Cl
2 1 1 8
direct
0.0000 0.2457 0.0000 Na
0.0000 0.7543 0.0000 Na
0.5000 0.5000 0.5000 Ac
0.5000 0.0000 0.5000 Np
0.2079 0.5000 0.1746 Cl
0.2204 0.0000 0.1912 Cl
0.2933 0.2389 0.6750 Cl
0.2933 0.7611 0.6750 Cl
0.7067 0.2389 0.3250 Cl
0.7067 0.7611 0.3250 Cl
0.7796 0.0000 0.8088 Cl
0.7921 0.5000 0.8254 Cl
```

=====

# 10
Computed X-ray powder pattern
Compound: Na2Ac2Se3Cl2
Radiation: CuKα
Structure: a GGA-PBE-relaxed structure
Kinematic intensities with the Lorentz-polarization factor, no thermal factor.

Main lines, sorted by position (2θ = 15–90°):
- 2θ = 15.7°, I 27
- 2θ = 20.7°, I 54
- 2θ = 22.8°, I 27
- 2θ = 29.5°, I 100
- 2θ = 31.8°, I 38
- 2θ = 32.9°, I 80
- 2θ = 37.9°, I 28
- 2θ = 42.2°, I 37
- 2θ = 44.7°, I 68
- 2θ = 63.1°, I 24

Atomic structure:
```
Na2Ac2Se3Cl2
1.0
-3.0317 3.0317 7.6271
3.0317 -3.0317 7.6271
3.0317 3.0317 -7.6271
Na Ac Se Cl
2 2 3 2
direct
0.0000 0.5000 0.5000 Na
0.5000 0.0000 0.5000 Na
0.2053 0.2053 0.0000 Ac
0.7947 0.7947 0.0000 Ac
0.0000 0.0000 0.0000 Se
0.2500 0.7500 0.5000 Se
0.7500 0.2500 0.5000 Se
0.3949 0.3949 0.0000 Cl
0.6051 0.6051 0.0000 Cl
```

=====

# 11
Computed X-ray powder pattern
Compound: NaAcSn2Cl8
Radiation: CuKα
Structure: a GGA-PBE-relaxed structure
Kinematic intensities with the Lorentz-polarization factor, no thermal factor.

Main lines, sorted by position (2θ = 15–90°):
- 2θ = 16.4°, I 28
- 2θ = 16.6°, I 49
- 2θ = 18.5°, I 100
- 2θ = 18.9°, I 97
- 2θ = 24.0°, I 37
- 2θ = 24.4°, I 37
- 2θ = 35.8°, I 30
- 2θ = 36.1°, I 31
- 2θ = 36.2°, I 39
- 2θ = 44.8°, I 34

Atomic structure:
```
NaAcSn2Cl8
1.0
6.6210 0.0000 0.0000
0.1474 6.7993 0.0000
0.1645 0.0885 8.8385
Na Ac Sn Cl
1 1 2 8
direct
0.0000 0.0000 0.0000 Na
0.0000 0.0000 0.5000 Ac
0.4986 0.5024 0.7653 Sn
0.5014 0.4976 0.2347 Sn
0.2029 0.8100 0.2457 Cl
0.2368 0.8477 0.7496 Cl
0.2712 0.3272 0.4725 Cl
0.2900 0.3285 0.0275 Cl
0.7100 0.6715 0.9725 Cl
0.7288 0.6728 0.5275 Cl
0.7632 0.1523 0.2504 Cl
0.7971 0.1900 0.7543 Cl
```

=====

# 12
Computed X-ray powder pattern
Compound: AcNdPCl
Radiation: CuKα
Structure: a GGA-PBE-relaxed structure
Kinematic intensities with the Lorentz-polarization factor, no thermal factor.

Main lines, sorted by position (2θ = 15–90°):
- 2θ = 23.4°, I 28
- 2θ = 25.1°, I 71
- 2θ = 26.0°, I 21
- 2θ = 29.4°, I 50
- 2θ = 31.7°, I 100
- 2θ = 37.2°, I 19
- 2θ = 43.6°, I 45
- 2θ = 47.1°, I 27
- 2θ = 50.0°, I 24
- 2θ = 54.9°, I 21

Atomic structure:
```
AcNdPCl
1.0
4.1518 0.0000 0.0000
-2.0759 3.5956 0.0000
0.0000 0.0000 22.8483
Ac Nd P Cl
3 3 3 3
direct
0.0000 0.0000 0.0000 Ac
0.3333 0.6667 0.6667 Ac
0.6667 0.3333 0.3333 Ac
0.0000 0.0000 0.8094 Nd
0.3333 0.6667 0.4761 Nd
0.6667 0.3333 0.1427 Nd
0.0000 0.0000 0.4116 P
0.3333 0.6667 0.0783 P
0.6667 0.3333 0.7449 P
0.0000 0.0000 0.2318 Cl
0.3333 0.6667 0.8985 Cl
0.6667 0.3333 0.5652 Cl
```

=====

# 13
Computed X-ray powder pattern
Compound: AcOs2Cl2O7
Radiation: CuKα
Structure: a GGA-PBE-relaxed structure
Kinematic intensities with the Lorentz-polarization factor, no thermal factor.

Main lines, sorted by position (2θ = 15–90°):
- 2θ = 25.4°, I 76
- 2θ = 26.6°, I 87
- 2θ = 28.8°, I 80
- 2θ = 30.4°, I 100
- 2θ = 32.2°, I 57
- 2θ = 32.3°, I 41
- 2θ = 33.2°, I 70
- 2θ = 46.3°, I 45
- 2θ = 46.4°, I 33
- 2θ = 56.3°, I 37

Atomic structure:
```
AcOs2Cl2O7
1.0
2.7771 -2.7824 0.0000
2.7771 2.7824 0.0000
-1.0604 0.0000 14.1205
Ac Os Cl O
1 2 2 7
direct
0.0000 0.0000 0.0000 Ac
0.4702 0.4702 0.8435 Os
0.5298 0.5298 0.1565 Os
0.1143 0.1143 0.5578 Cl
0.8857 0.8857 0.4422 Cl
0.0248 0.5249 0.1297 O
0.4451 0.4451 0.7206 O
0.4751 0.9752 0.8703 O
0.5000 0.5000 0.0000 O
0.5249 0.0248 0.1297 O
0.5549 0.5549 0.2794 O
0.9752 0.4751 0.8703 O
```